The following is a simulated powder diffraction line list of Sr2Pt. It was derived from a cell relaxed with GGA-PBE, using Cu Ka.
Kinematic intensities with the Lorentz-polarization factor, no thermal factor.

Largest 10 diffraction maxima, by angle, 5° ≤ 2θ ≤ 70°:
| index | Position (°2θ) | d [Å] | intensity |
| --- | --- | --- | --- |
| 0 0 2 | 13.0 | 6.836 | 100 |
| 1 0 1 | 24.2 | 3.679 | 48 |
| 1 0 2 | 26.7 | 3.334 | 67 |
| 1 0 3 | 30.5 | 2.927 | 90 |
| 1 0 4 | 35.2 | 2.547 | 25 |
| 1 0 5 | 40.6 | 2.223 | 47 |
| 1 1 0 | 40.9 | 2.205 | 57 |
| 1 1 2 | 43.1 | 2.099 | 32 |
| 2 0 3 | 51.9 | 1.761 | 21 |
| 1 1 8 | 69.6 | 1.351 | 22 |

Atomic structure:
Lattice parameters (Å, degrees): 4.411 4.411 13.672 90.00 90.00 120.00
Sites, in units of the cell vectors:
Sr1 0.000 0.000 0.000
Sr2 0.000 0.000 0.500
Sr3 0.333 0.667 0.235
Sr4 0.667 0.333 0.735
Pt1 0.333 0.667 0.617
Pt2 0.667 0.333 0.117